1.
The following is a computed PXRD pattern of Ho2Ga7Au12. It was derived from a DFT-relaxed cell (PBE, Alexandria), using CuKα.
Peak positions follow from Bragg's law for the DFT cell and can differ from measured ones.

Principal peaks in the range 10° ≤ 2θ ≤ 80°, in order of falling intensity:
Position (°2θ), intensity, h k l
33.81, 100, 2 1 1
44.77, 32, 0 0 2
42.43, 16, 3 2 0
38.79, 10, 4 0 0
25.38, 10, 2 1 0
75.54, 10, 2 1 3

Crystal structure
Cell: 10.7223 10.7223 4.0449 Å, 90.00 90.00 120.00°
Space group P-3 (No. 147)
Inequivalent atoms, fractional coordinates:
Ho 0.3333 0.6667 0.2464 [2 per cell]
Ga 0.0000 0.0000 0.5000 [1 per cell]
Ga 0.1012 0.6981 0.7298 [6 per cell]
Au 0.0913 0.4575 0.7617 [6 per cell]
Au 0.1278 0.2585 0.2271 [6 per cell]


2.
The following is a computed PXRD pattern of Ho2Ga5Au3. It was derived from a DFT-relaxed cell (PBE, Alexandria), using CuKα.
Peak positions follow from Bragg's law for the DFT cell and can differ from measured ones.

Principal peaks in the range 10° ≤ 2θ ≤ 80°, in order of falling intensity:
Position (°2θ), intensity, h k l
34.36, 100, 1 3 2
41.03, 56, 2 0 0
34.75, 52, 1 7 1
38.29, 22, 1 9 0
46.46, 21, 1 9 2
38.17, 21, 0 10 1

Crystal structure
Cell: 4.401 25.023 7.037 Å, 90.00 90.00 90.00°
Space group Cmc2_1 (No. 36)
Inequivalent atoms, fractional coordinates:
Ho 0.000 0.017 0.000 [4 per cell]
Ho 0.000 0.326 0.013 [4 per cell]
Ga 0.000 0.104 0.341 [4 per cell]
Ga 0.000 0.206 0.225 [4 per cell]
Ga 0.000 0.207 0.815 [4 per cell]
Ga 0.000 0.382 0.486 [4 per cell]
Ga 0.000 0.450 0.175 [4 per cell]
Au 0.000 0.107 0.729 [4 per cell]
Au 0.000 0.277 0.522 [4 per cell]
Au 0.000 0.448 0.786 [4 per cell]


3.
The following is a computed PXRD pattern of LaHoGaAu. It was derived from a DFT-relaxed cell (PBE, Alexandria), using CuKα.
Peak positions follow from Bragg's law for the DFT cell and can differ from measured ones.

Principal peaks in the range 10° ≤ 2θ ≤ 80°, in order of falling intensity:
Position (°2θ), intensity, h k l
34.26, 100, 2 2 0
61.36, 37, 4 2 2
49.24, 18, 4 0 0
72.19, 12, 4 4 0
20.78, 11, 1 1 1
40.41, 6, 3 1 1

Crystal structure
Cell: 7.402 7.402 7.402 Å, 90.00 90.00 90.00°
Space group F-43m (No. 216)
Inequivalent atoms, fractional coordinates:
La 0.000 0.000 0.000 [4 per cell]
Ho 0.000 0.000 0.500 [4 per cell]
Ga 0.250 0.250 0.750 [4 per cell]
Au 0.250 0.250 0.250 [4 per cell]


4.
The following is a computed PXRD pattern of Tb2Ho2Ga4Au. It was derived from a DFT-relaxed cell (PBE, Alexandria), using CuKα.
Peak positions follow from Bragg's law for the DFT cell and can differ from measured ones.

Principal peaks in the range 10° ≤ 2θ ≤ 80°, in order of falling intensity:
Position (°2θ), intensity, h k l
36.19, 100, 2 2 0
32.55, 84, 2 0 2
25.37, 57, 2 0 0
42.01, 54, 2 1 3
32.92, 49, 1 0 3
52.11, 35, 4 0 0

Crystal structure
Cell: 7.021 7.021 8.854 Å, 90.00 90.00 90.00°
Space group I4/mmm (No. 139)
Inequivalent atoms, fractional coordinates:
Tb 0.000 0.500 0.250 [4 per cell]
Ho 0.000 0.000 0.186 [4 per cell]
Ga 0.245 0.245 0.000 [8 per cell]
Au 0.000 0.000 0.500 [2 per cell]


5.
The following is a computed PXRD pattern of HoThGaAu. It was derived from a DFT-relaxed cell (PBE, Alexandria), using CuKα.
Peak positions follow from Bragg's law for the DFT cell and can differ from measured ones.

Principal peaks in the range 10° ≤ 2θ ≤ 80°, in order of falling intensity:
Position (°2θ), intensity, h k l
30.94, 100, 1 1 1
38.60, 60, 1 1 3
32.71, 32, 0 1 3
32.04, 30, 0 0 4
40.51, 27, 2 0 0
38.03, 25, 1 0 4

Crystal structure
Cell: 4.454 4.040 11.173 Å, 90.00 90.00 90.00°
Space group Amm2 (No. 38)
Inequivalent atoms, fractional coordinates:
Ho 0.000 0.000 0.000 [2 per cell]
Th 0.500 0.000 0.719 [2 per cell]
Ga 0.000 0.000 0.284 [2 per cell]
Au 0.500 0.000 0.444 [2 per cell]


6.
The following is a computed PXRD pattern of HoZrGaAu. It was derived from a DFT-relaxed cell (PBE, Alexandria), using CuKα.
Peak positions follow from Bragg's law for the DFT cell and can differ from measured ones.

Principal peaks in the range 10° ≤ 2θ ≤ 80°, in order of falling intensity:
Position (°2θ), intensity, h k l
36.31, 100, 2 2 0
65.33, 36, 4 2 2
52.29, 18, 4 0 0
22.00, 17, 1 1 1
77.10, 11, 4 4 0
42.86, 9, 3 1 1

Crystal structure
Cell: 6.998 6.998 6.998 Å, 90.00 90.00 90.00°
Space group F-43m (No. 216)
Inequivalent atoms, fractional coordinates:
Ho 0.000 0.000 0.000 [4 per cell]
Zr 0.000 0.000 0.500 [4 per cell]
Ga 0.250 0.250 0.250 [4 per cell]
Au 0.250 0.250 0.750 [4 per cell]


7.
The following is a computed PXRD pattern of GaRhAu2I. It was derived from a DFT-relaxed cell (PBE, Alexandria), using CuKα.
Peak positions follow from Bragg's law for the DFT cell and can differ from measured ones.

Principal peaks in the range 10° ≤ 2θ ≤ 80°, in order of falling intensity:
Position (°2θ), intensity, h k l
30.93, 100, 1 1 1
34.62, 77, 2 0 0
52.54, 47, 2 0 2
59.75, 31, 3 1 1
18.86, 31, 0 0 1
38.26, 29, 0 0 2

Crystal structure
Cell: 5.182 5.182 4.705 Å, 90.00 90.00 90.00°
Space group P4/mmm (No. 123)
Inequivalent atoms, fractional coordinates:
Ga 0.000 0.000 0.000 [1 per cell]
Rh 0.000 0.000 0.500 [1 per cell]
Au 0.000 0.500 0.500 [2 per cell]
I 0.500 0.500 0.000 [1 per cell]


8.
The following is a computed PXRD pattern of InGa2Au7. It was derived from a DFT-relaxed cell (PBE, Alexandria), using CuKα.
Peak positions follow from Bragg's law for the DFT cell and can differ from measured ones.

Principal peaks in the range 10° ≤ 2θ ≤ 80°, in order of falling intensity:
Position (°2θ), intensity, h k l
37.70, 100, 2 2 1
36.75, 80, 0 2 2
39.98, 71, 4 0 2
37.00, 66, 5 1 -1
33.02, 65, 2 0 -4
38.71, 62, 5 1 -3

Crystal structure
Cell: 13.668 5.622 10.853 Å, 90.00 114.14 90.00°
Space group C2/c (No. 15)
Inequivalent atoms, fractional coordinates:
In 0.000 0.068 0.250 [4 per cell]
Ga 0.198 0.410 0.290 [8 per cell]
Au 0.000 0.428 0.750 [4 per cell]
Au 0.076 0.207 0.041 [8 per cell]
Au 0.141 0.291 0.507 [8 per cell]
Au 0.201 0.147 0.866 [8 per cell]